The following is a calculated powder diffractogram of PrCu3P3. It was derived from a PBE-relaxed structure, using Cu Kα (λ = 1.5418 Å).

The 6 most intense peaks (2θ = 5–70°), in order of rising 2θ:
d_spacing, I/Imax
3.166, 43.7
2.832, 13.1
2.585, 100.0
1.692, 53.9
1.583, 17.5
1.416, 14.6

Structure:
Cell: 6.332 6.332 6.332 Å, 90.00 90.00 90.00°
Fractional coordinates of all 14 atoms:
Pr 0.000 0.000 0.000
Pr 0.500 0.500 0.500
Cu 0.000 0.250 0.500
Cu 0.000 0.750 0.500
Cu 0.250 0.500 0.000
Cu 0.500 0.000 0.250
Cu 0.500 0.000 0.750
Cu 0.750 0.500 0.000
P 0.000 0.500 0.250
P 0.000 0.500 0.750
P 0.250 0.000 0.500
P 0.500 0.250 0.000
P 0.500 0.750 0.000
P 0.750 0.000 0.500